Starting from a crystal structure in Alexandria, relaxed with PBE, the PXRD pattern of RbTa4S8 was calculated for Cu Kα.
Lines closer than 0.1° are merged.

Atomic structure:
a b c (Å): 17.3179 3.4011 12.0600
angles (deg): 90.00 131.28 90.00
Space group C2/m (No. 12)
Symmetry-distinct sites (fractional):
Rb (0.0000, 0.0000, 0.0000)
Ta (0.1520, 0.0000, 0.4757)
Ta (0.1771, 0.5000, 0.8576)
S (0.0388, 0.0000, 0.7349)
S (0.1383, 0.5000, 0.6056)
S (0.1587, 0.5000, 0.3286)
S (0.1949, 0.5000, 0.0770)

Peak list (10 most intense, 2θ = 15–90°, by angle)
2θ/deg	d_spacing	I/Imax	index
22.1	4.020	57.6	4 0 -1
23.5	3.785	36.0	4 0 -3
30.4	2.940	36.9	1 1 1
30.8	2.906	100.0	3 1 -1
31.1	2.874	51.4	3 1 -2
38.8	2.323	49.5	3 1 1
40.4	2.235	40.7	3 1 -4
40.9	2.208	53.9	5 1 -4
47.0	1.932	38.0	7 1 -2
52.7	1.736	40.2	1 1 4


Starting from a crystal structure in Alexandria, relaxed with PBE, the PXRD pattern of Pm2Pa2O7 was calculated for Cu Kα.
Lines closer than 0.1° are merged.

Atomic structure:
a b c (Å): 10.9949 10.9949 10.9949
angles (deg): 90.00 90.00 90.00
Space group Fd-3m (No. 227, origin choice 2)
Symmetry-distinct sites (fractional):
Pm (0.0000, 0.0000, 0.0000)
Pa (0.0000, 0.0000, 0.5000)
O (0.1043, 0.3750, 0.8750)
O (0.1250, 0.1250, 0.1250)

Peak list (10 most intense, 2θ = 15–90°, by angle)
2θ/deg	d_spacing	I/Imax	index
26.9	3.315	5.2	3 1 1
28.1	3.174	100.0	2 2 2
32.6	2.749	36.7	4 0 0
46.7	1.944	48.8	4 4 0
55.4	1.658	46.5	6 2 2
58.1	1.587	10.6	4 4 4
68.2	1.374	7.6	8 0 0
75.4	1.261	19.0	6 6 2
77.7	1.229	14.6	8 4 0
86.8	1.122	15.9	8 4 4


Starting from a crystal structure in Alexandria, relaxed with PBE, the PXRD pattern of Sm8SbTe4Se3 was calculated for Cu Kα.
Lines closer than 0.1° are merged.

Atomic structure:
a b c (Å): 8.6606 8.6606 21.5727
angles (deg): 90.00 90.00 120.00
Space group R-3m (No. 166, hexagonal axes)
Symmetry-distinct sites (fractional):
Sm (0.0000, 0.0000, 0.2390)
Sm (0.0116, 0.5058, 0.7587)
Sb (0.0000, 0.0000, 0.5000)
Te (0.0000, 0.0000, 0.0000)
Te (0.0000, 0.5000, 0.0000)
Se (0.0000, 0.5000, 0.5000)

Peak list (10 most intense, 2θ = 15–90°, by angle)
2θ/deg	d_spacing	I/Imax	index
29.0	3.079	100.0	0 2 4
41.2	2.189	34.9	2 0 8
41.7	2.165	38.1	2 2 0
50.8	1.798	5.4	0 0 12
51.6	1.771	19.7	4 0 4
60.1	1.539	11.3	0 4 8
67.7	1.383	13.4	2 2 12
68.4	1.371	16.6	2 4 4
75.8	1.255	11.2	4 2 8
76.2	1.250	6.3	6 0 0


Starting from a crystal structure in Alexandria, relaxed with PBE, the PXRD pattern of Cs2Sr2NbS6 was calculated for Cu Kα.
Lines closer than 0.1° are merged.

Atomic structure:
a b c (Å): 7.2808 12.2491 8.5005
angles (deg): 90.00 106.94 90.00
Space group C2/m (No. 12)
Symmetry-distinct sites (fractional):
Cs (0.0000, 0.1740, 0.0000)
Sr (0.0000, 0.3359, 0.5000)
Nb (0.0000, 0.0000, 0.5000)
S (0.2039, 0.1426, 0.6784)
S (0.2181, 0.0000, 0.3206)

Peak list (10 most intense, 2θ = 15–90°, by angle)
2θ/deg	d_spacing	I/Imax	index
18.1	4.892	21.6	0 2 1
21.9	4.066	33.9	0 0 2
25.6	3.482	17.9	2 0 0
26.0	3.421	34.0	1 3 -1
28.5	3.134	50.9	2 0 -2
29.1	3.071	100.0	1 3 1
38.6	2.331	21.4	2 0 2
38.8	2.320	32.7	1 3 -3
43.4	2.086	30.4	3 3 -1
58.9	1.567	20.1	1 3 -5


Copy entry 2 word for word.
Starting from a crystal structure in Alexandria, relaxed with PBE, the PXRD pattern of Pm2Pa2O7 was calculated for Cu Kα.
Lines closer than 0.1° are merged.

Atomic structure:
a b c (Å): 10.9949 10.9949 10.9949
angles (deg): 90.00 90.00 90.00
Space group Fd-3m (No. 227, origin choice 2)
Symmetry-distinct sites (fractional):
Pm (0.0000, 0.0000, 0.0000)
Pa (0.0000, 0.0000, 0.5000)
O (0.1043, 0.3750, 0.8750)
O (0.1250, 0.1250, 0.1250)

Peak list (10 most intense, 2θ = 15–90°, by angle)
2θ/deg	d_spacing	I/Imax	index
26.9	3.315	5.2	3 1 1
28.1	3.174	100.0	2 2 2
32.6	2.749	36.7	4 0 0
46.7	1.944	48.8	4 4 0
55.4	1.658	46.5	6 2 2
58.1	1.587	10.6	4 4 4
68.2	1.374	7.6	8 0 0
75.4	1.261	19.0	6 6 2
77.7	1.229	14.6	8 4 0
86.8	1.122	15.9	8 4 4